1.
SrCaMn2O6: computed powder diffraction line list (CuKα), based on a DFT-relaxed cell (GGA+U, the Materials Project).
Lines closer than 0.1° are merged.

Peak list (10 most intense, 10° ≤ 2θ ≤ 90°, low angle first)
- d = 3.444 Å, rel. 8
- d = 2.734 Å, rel. 19
- d = 2.719 Å, rel. 100
- d = 1.926 Å, rel. 33
- d = 1.921 Å, rel. 16
- d = 1.576 Å, rel. 17
- d = 1.572 Å, rel. 8
- d = 1.568 Å, rel. 23
- d = 1.360 Å, rel. 17
- d = 1.215 Å, rel. 9

Crystal structure
```
SrCaMn2O6
1.0
7.683 0.000 0.000
0.000 5.468 0.000
0.000 0.000 5.430
Sr Ca Mn O
2 2 4 12
Cartesian
0.000 1.344 0.000
0.000 4.123 2.715
3.841 1.364 5.335
3.841 4.104 2.621
1.954 1.369 2.659
1.954 4.099 5.374
5.729 1.369 2.659
5.729 4.099 5.374
0.000 1.595 2.636
0.000 3.872 5.351
1.787 0.109 4.112
1.787 5.358 1.397
2.192 2.628 1.183
2.192 2.839 3.898
3.841 1.028 2.641
3.841 4.440 5.356
5.491 2.628 1.183
5.491 2.839 3.898
5.896 0.109 4.112
5.896 5.358 1.397
```

***

2.
MgCd2Fe4O8: computed powder diffraction line list (CuKα), based on a DFT-relaxed cell (GGA+U, the Materials Project).
Lines closer than 0.1° are merged.

Peak list (10 most intense, 10° ≤ 2θ ≤ 90°, low angle first)
- d = 5.723 Å, rel. 53
- d = 3.532 Å, rel. 64
- d = 3.441 Å, rel. 100
- d = 3.347 Å, rel. 42
- d = 3.291 Å, rel. 51
- d = 3.176 Å, rel. 91
- d = 3.041 Å, rel. 72
- d = 2.676 Å, rel. 41
- d = 2.638 Å, rel. 72
- d = 2.613 Å, rel. 64

Crystal structure
```
MgCd2Fe4O8
1.0
6.079 0.000 0.000
-0.006 6.096 0.000
-2.822 -2.809 5.723
Mg Cd Fe O
1 2 4 8
Cartesian
0.000 0.000 0.000
0.167 3.217 2.868
2.821 3.473 0.009
1.447 0.242 2.107
3.138 1.970 3.557
3.244 -1.038 3.876
4.450 0.344 1.905
-1.646 3.425 4.144
-1.555 0.595 4.066
0.025 1.473 1.368
0.076 5.008 1.606
2.890 1.792 1.661
1.745 0.417 4.003
2.946 5.093 1.659
1.866 3.270 4.325
```

***

3.
Li2V3SnO8: computed powder diffraction line list (CuKα), based on a DFT-relaxed cell (GGA+U, the Materials Project).
Lines closer than 0.1° are merged.

Peak list (10 most intense, 10° ≤ 2θ ≤ 90°, low angle first)
- d = 4.949 Å, rel. 100
- d = 4.899 Å, rel. 43
- d = 2.656 Å, rel. 11
- d = 2.638 Å, rel. 19
- d = 2.600 Å, rel. 33
- d = 2.577 Å, rel. 18
- d = 2.162 Å, rel. 24
- d = 2.151 Å, rel. 48
- d = 1.550 Å, rel. 16
- d = 1.501 Å, rel. 15

Crystal structure
```
Li2V3SnO8
1.0
5.191 -3.017 0.000
5.191 3.017 0.000
-3.398 0.000 5.114
Li V Sn O
2 3 1 8
Cartesian
0.044 0.000 1.864
6.941 0.000 3.250
2.596 1.509 0.000
2.596 -1.509 0.000
5.191 0.000 0.000
3.492 0.000 2.557
1.901 0.000 1.180
4.322 1.367 1.194
0.145 0.000 4.095
2.663 1.367 3.920
4.322 -1.367 1.194
6.839 0.000 1.019
2.663 -1.367 3.920
5.084 0.000 3.935
```

***

4.
NdDyNi4O12: computed powder diffraction line list (CuKα), based on a DFT-relaxed cell (GGA+U, the Materials Project).
Lines closer than 0.1° are merged.

Peak list (10 most intense, 10° ≤ 2θ ≤ 90°, low angle first)
- d = 4.339 Å, rel. 100
- d = 2.705 Å, rel. 35
- d = 2.634 Å, rel. 77
- d = 2.295 Å, rel. 34
- d = 2.210 Å, rel. 17
- d = 1.913 Å, rel. 27
- d = 1.711 Å, rel. 14
- d = 1.548 Å, rel. 30
- d = 1.508 Å, rel. 15
- d = 1.317 Å, rel. 12

Crystal structure
```
NdDyNi4O12
1.0
7.651 0.000 0.000
0.000 3.632 3.825
0.000 -3.632 3.825
Nd Dy Ni O
1 1 4 12
Cartesian
0.000 0.000 0.000
3.825 0.000 4.202
1.952 -1.792 2.140
1.952 1.792 2.140
5.699 -1.792 2.140
5.699 1.792 2.140
0.000 -1.483 2.057
0.000 1.483 2.057
1.566 0.000 5.634
1.918 -2.092 4.042
1.918 2.092 4.042
2.321 0.000 2.506
3.825 -1.458 5.880
3.825 1.458 5.880
5.330 0.000 2.506
5.733 -2.092 4.042
5.733 2.092 4.042
6.085 0.000 5.634
```

***

5.
LiCrP3O9: computed powder diffraction line list (CuKα), based on a DFT-relaxed cell (GGA+U, the Materials Project).
Lines closer than 0.1° are merged.

Peak list (10 most intense, 10° ≤ 2θ ≤ 90°, low angle first)
- d = 7.769 Å, rel. 49
- d = 4.880 Å, rel. 51
- d = 4.595 Å, rel. 37
- d = 4.210 Å, rel. 25
- d = 4.060 Å, rel. 31
- d = 3.720 Å, rel. 28
- d = 3.466 Å, rel. 24
- d = 3.103 Å, rel. 35
- d = 3.032 Å, rel. 100
- d = 2.981 Å, rel. 36

Crystal structure
```
LiCrP3O9
1.0
9.673 0.000 0.000
-2.776 9.347 0.000
-3.721 -3.915 8.119
Li Cr P O
4 4 12 36
Cartesian
-0.334 0.383 2.731
-0.628 -2.191 4.611
3.803 7.623 3.508
3.510 5.049 5.388
-2.565 4.432 5.929
2.301 1.868 1.651
0.874 3.565 6.468
5.740 1.000 2.190
-3.419 1.156 5.273
-2.958 -1.369 6.751
-1.022 8.223 0.612
-0.137 3.766 3.359
0.795 0.405 5.767
1.921 7.552 0.898
1.255 -2.120 7.221
2.381 5.028 2.352
3.313 1.666 4.760
4.197 -2.791 7.507
6.133 6.802 1.368
6.594 4.277 2.846
-2.615 -2.117 5.485
-3.382 5.006 4.148
-1.979 6.987 0.995
-2.958 0.225 6.489
-4.659 4.520 7.255
-2.813 2.494 5.484
-1.493 4.226 2.614
-2.106 -1.593 7.946
1.370 0.031 1.526
0.237 2.372 2.959
0.118 -0.320 4.643
0.350 7.589 1.195
0.536 -2.897 6.138
0.807 4.858 2.653
-0.239 4.123 4.828
-1.497 4.029 7.596
0.205 1.689 6.251
2.271 6.008 1.060
0.904 -0.575 7.059
2.970 3.743 1.868
4.673 1.404 0.523
3.415 1.309 3.291
2.368 0.575 5.467
2.640 8.330 1.981
2.826 -2.156 6.924
3.058 5.752 3.476
2.939 3.061 5.160
1.805 5.402 6.593
5.282 7.025 0.173
4.668 1.206 5.505
5.988 2.938 2.635
7.834 0.912 0.864
6.134 5.207 1.630
5.155 -1.554 7.124
6.558 0.427 3.971
5.790 7.549 2.634
```

***

6.
BaYMgCrCuO5: computed powder diffraction line list (CuKα), based on a DFT-relaxed cell (GGA+U, the Materials Project).
Lines closer than 0.1° are merged.

Peak list (10 most intense, 10° ≤ 2θ ≤ 90°, low angle first)
- d = 3.726 Å, rel. 39
- d = 3.122 Å, rel. 76
- d = 2.859 Å, rel. 69
- d = 2.803 Å, rel. 49
- d = 2.779 Å, rel. 76
- d = 2.741 Å, rel. 48
- d = 2.552 Å, rel. 100
- d = 2.011 Å, rel. 46
- d = 1.976 Å, rel. 38
- d = 1.539 Å, rel. 35

Crystal structure
```
BaYMgCrCuO5
1.0
3.956 0.000 0.000
-0.001 4.022 0.000
-1.558 -0.009 9.906
Ba Y Mg Cr Cu O
1 1 1 1 1 5
Cartesian
0.000 0.000 0.000
1.980 4.014 6.319
1.992 2.010 2.567
0.003 2.003 4.778
0.286 2.003 7.958
0.015 2.011 1.890
0.017 4.014 5.226
0.429 4.014 8.284
1.978 2.004 4.512
2.278 2.003 7.421
```

***

7.
P2W2O11: computed powder diffraction line list (CuKα), based on a DFT-relaxed cell (GGA+U, the Materials Project).
Lines closer than 0.1° are merged.

Peak list (10 most intense, 10° ≤ 2θ ≤ 90°, low angle first)
- d = 5.003 Å, rel. 62
- d = 4.210 Å, rel. 100
- d = 3.980 Å, rel. 24
- d = 3.897 Å, rel. 24
- d = 3.545 Å, rel. 67
- d = 3.500 Å, rel. 66
- d = 3.216 Å, rel. 60
- d = 2.555 Å, rel. 28
- d = 2.368 Å, rel. 29
- d = 1.608 Å, rel. 23

Crystal structure
```
P2W2O11
1.0
7.794 0.000 0.000
0.000 7.961 0.000
0.000 0.000 6.432
P W O
4 4 22
Cartesian
0.907 1.970 0.000
2.990 5.950 3.216
4.803 2.011 3.216
6.887 5.991 0.000
1.439 1.256 3.216
2.458 5.237 0.000
5.336 2.724 0.000
6.355 6.705 3.216
0.000 0.000 3.216
0.513 2.713 3.216
0.649 6.110 0.000
1.324 3.423 0.000
1.466 1.183 1.222
1.466 1.183 5.209
2.431 5.164 1.993
2.431 5.164 4.438
2.573 7.403 3.216
3.248 2.129 3.216
3.384 6.693 0.000
3.897 3.980 0.000
4.410 1.268 0.000
4.546 5.832 3.216
5.221 0.558 3.216
5.363 2.797 1.993
5.363 2.797 4.438
6.328 6.778 1.222
6.328 6.778 5.209
6.470 4.538 0.000
7.145 1.851 0.000
7.281 5.248 3.216
```

***

8.
MnO2: computed powder diffraction line list (CuKα), based on a DFT-relaxed cell (GGA+U, the Materials Project).
Lines closer than 0.1° are merged.

Peak list (10 most intense, 10° ≤ 2θ ≤ 90°, low angle first)
- d = 4.121 Å, rel. 100
- d = 2.593 Å, rel. 35
- d = 2.481 Å, rel. 24
- d = 2.381 Å, rel. 31
- d = 2.181 Å, rel. 15
- d = 1.938 Å, rel. 14
- d = 1.683 Å, rel. 32
- d = 1.643 Å, rel. 16
- d = 1.497 Å, rel. 15
- d = 1.384 Å, rel. 12

Crystal structure
```
MnO2
1.0
9.434 0.000 0.000
0.000 2.916 0.000
0.000 0.000 4.581
Mn O
4 8
Cartesian
1.273 0.729 0.098
3.444 2.187 2.388
5.991 0.729 2.193
8.161 2.187 4.483
0.348 2.187 0.973
2.041 2.187 3.704
2.676 0.729 1.414
4.369 0.729 3.264
5.066 2.187 1.317
6.758 2.187 3.167
7.394 0.729 0.877
9.086 0.729 3.608
```